Record 1
Calculated powder X-ray diffraction pattern of InGaICl for Cu Kα, from DFT lattice parameters and positions (GGA-PBE).
Intensities are scaled so that the largest is 100.

Main lines, most intense first (10 to 80 degrees two-theta):
- 32.23 deg, I 100
- 21.12 deg, I 77
- 45.28 deg, I 57
- 27.70 deg, I 37
- 31.81 deg, I 32
- 30.94 deg, I 28
- 57.47 deg, I 18
- 66.70 deg, I 17
- 19.15 deg, I 17
- 38.85 deg, I 16

```
InGaICl
1.0
2.7775 1.6036 11.5613
-2.7775 1.6036 11.5613
0.0000 -3.2072 11.5613
In Ga I Cl
2 2 2 2
direct
0.1186 0.1186 0.1186 In
0.8814 0.8814 0.8814 In
0.2871 0.2871 0.2871 Ga
0.7129 0.7129 0.7129 Ga
0.3834 0.3834 0.3834 I
0.6166 0.6166 0.6166 I
0.2011 0.2011 0.2011 Cl
0.7989 0.7989 0.7989 Cl
```

=====

Record 2
Calculated powder X-ray diffraction pattern of Ho3Co8Sn for Cu Kα, from DFT lattice parameters and positions (GGA-PBE).
Intensities are scaled so that the largest is 100.

Main lines, most intense first (10 to 80 degrees two-theta):
- 42.20 deg, I 100
- 35.83 deg, I 43
- 35.73 deg, I 43
- 42.28 deg, I 33
- 64.34 deg, I 24
- 68.68 deg, I 23
- 21.68 deg, I 17
- 44.24 deg, I 15
- 68.78 deg, I 15
- 75.93 deg, I 15

```
Ho3Co8Sn
1.0
2.5063 1.4470 8.2198
-2.5063 1.4470 8.2198
0.0000 -2.8940 8.2198
Ho Co Sn
3 8 1
direct
0.0000 0.0000 0.0000 Ho
0.1266 0.1266 0.1266 Ho
0.6218 0.6218 0.6218 Ho
0.0621 0.0621 0.5600 Co
0.0621 0.5600 0.0621 Co
0.0641 0.5625 0.5625 Co
0.3126 0.3126 0.3126 Co
0.5600 0.0621 0.0621 Co
0.5625 0.0641 0.5625 Co
0.5625 0.5625 0.0641 Co
0.8126 0.8126 0.8126 Co
0.4984 0.4984 0.4984 Sn
```

=====

Record 3
Calculated powder X-ray diffraction pattern of Li3Pb for Cu Kα, from DFT lattice parameters and positions (GGA-PBE).
Intensities are scaled so that the largest is 100.

Main lines, most intense first (10 to 80 degrees two-theta):
- 16.66 deg, I 100
- 18.55 deg, I 78
- 25.03 deg, I 78
- 35.76 deg, I 39
- 33.81 deg, I 37
- 38.72 deg, I 31
- 28.01 deg, I 29
- 30.30 deg, I 24
- 39.97 deg, I 24
- 41.38 deg, I 22

```
Li3Pb
1.0
3.2271 0.0000 0.0000
0.0000 4.7842 0.0000
-0.8657 0.0000 5.3214
Li Pb
3 1
direct
0.0000 0.0000 0.0000 Li
0.2314 0.5000 0.7395 Li
0.7686 0.5000 0.2605 Li
0.5000 0.0000 0.5000 Pb
```

=====

Record 4
Calculated powder X-ray diffraction pattern of Na3B5C for Cu Kα, from DFT lattice parameters and positions (GGA-PBE).
Intensities are scaled so that the largest is 100.

Main lines, most intense first (10 to 80 degrees two-theta):
- 41.05 deg, I 100
- 42.05 deg, I 23
- 35.07 deg, I 20
- 62.91 deg, I 18
- 78.58 deg, I 17
- 76.16 deg, I 12
- 77.91 deg, I 11
- 55.87 deg, I 10
- 74.11 deg, I 2
- 66.98 deg, I 2

```
Na3B5C
1.0
2.9546 0.0000 0.0000
-1.4773 2.5587 0.0000
0.0000 0.0000 25.7859
Na B C
6 10 2
direct
0.0000 0.0000 0.0000 Na
0.0000 0.0000 0.1630 Na
0.0000 0.0000 0.3312 Na
0.0000 0.0000 0.5000 Na
0.0000 0.0000 0.6688 Na
0.0000 0.0000 0.8370 Na
0.3333 0.6667 0.0812 B
0.3333 0.6667 0.2471 B
0.3333 0.6667 0.4158 B
0.3333 0.6667 0.5842 B
0.3333 0.6667 0.7529 B
0.6667 0.3333 0.2471 B
0.6667 0.3333 0.4158 B
0.6667 0.3333 0.5842 B
0.6667 0.3333 0.7529 B
0.6667 0.3333 0.9188 B
0.3333 0.6667 0.9188 C
0.6667 0.3333 0.0812 C
```

=====

Record 5
Calculated powder X-ray diffraction pattern of Ba2PdAu7 for Cu Kα, from DFT lattice parameters and positions (GGA-PBE).
Intensities are scaled so that the largest is 100.

Main lines, most intense first (10 to 80 degrees two-theta):
- 32.05 deg, I 100
- 40.82 deg, I 64
- 40.95 deg, I 56
- 41.68 deg, I 41
- 29.54 deg, I 40
- 59.76 deg, I 28
- 21.33 deg, I 27
- 68.83 deg, I 22
- 59.10 deg, I 22
- 74.40 deg, I 20

```
Ba2PdAu7
1.0
4.4213 0.0000 0.0000
0.0000 4.4213 0.0000
0.0000 0.0000 12.4307
Ba Pd Au
2 1 7
direct
0.0000 0.5000 0.2445 Ba
0.5000 0.0000 0.7555 Ba
0.5000 0.5000 0.0000 Pd
0.0000 0.0000 0.0000 Au
0.0000 0.0000 0.5000 Au
0.0000 0.5000 0.6432 Au
0.0000 0.5000 0.8608 Au
0.5000 0.0000 0.1392 Au
0.5000 0.0000 0.3568 Au
0.5000 0.5000 0.5000 Au
```

=====

Record 6
Calculated powder X-ray diffraction pattern of Rb2HgH6Pt for Cu Kα, from DFT lattice parameters and positions (GGA-PBE).
Intensities are scaled so that the largest is 100.

Main lines, most intense first (10 to 80 degrees two-theta):
- 29.05 deg, I 100
- 18.04 deg, I 69
- 31.51 deg, I 60
- 54.60 deg, I 35
- 43.38 deg, I 34
- 21.30 deg, I 20
- 49.89 deg, I 20
- 39.11 deg, I 17
- 69.55 deg, I 15
- 73.47 deg, I 15

```
Rb2HgH6Pt
1.0
5.6788 0.0000 0.0000
-2.8394 4.9180 0.0000
0.0000 0.0000 7.8751
Rb Hg H Pt
2 1 6 1
direct
0.3333 0.6667 0.3191 Rb
0.6667 0.3333 0.6809 Rb
0.0000 0.0000 0.0000 Hg
0.1375 0.2750 0.6215 H
0.1375 0.8625 0.6215 H
0.2750 0.1375 0.3785 H
0.7250 0.8625 0.6215 H
0.8625 0.1375 0.3785 H
0.8625 0.7250 0.3785 H
0.0000 0.0000 0.5000 Pt
```